# 1
The following is a theoretical X-ray powder pattern of ZnAgSbI2. It was derived from the GGA-PBE geometry in Alexandria, using Cu Kα.
Peak positions follow from Bragg's law for the DFT cell and can differ from measured ones.

Peak list (6 most intense, 2θ from 10° to 80°, sorted by position)
2θ (°), Rel. int.
15.39, 46.7
27.29, 98.9
31.06, 100.0
32.71, 43.6
44.51, 36.4
45.73, 67.2

```
5
Lattice="5.758 0.000 0.000 0.000 5.758 0.000 0.000 0.000 5.476" Properties=species:S:1:pos:R:3 pbc="T T T"
Zn 0.000 0.000 0.000
Ag 2.879 2.879 2.738
Sb 2.879 2.879 0.000
I 0.000 2.879 2.738
I 2.879 0.000 2.738
```

# 2
The following is a theoretical X-ray powder pattern of ScAg2I5. It was derived from the GGA-PBE geometry in Alexandria, using Cu Kα.
Peak positions follow from Bragg's law for the DFT cell and can differ from measured ones.

Peak list (6 most intense, 2θ from 10° to 80°, sorted by position)
2θ (°), Rel. int.
12.59, 35.6
15.22, 100.0
24.97, 55.3
25.14, 62.1
36.89, 34.0
37.44, 45.3

```
8
Lattice="6.410 -4.465 0.000 6.410 4.465 0.000 -3.382 0.000 6.557" Properties=species:S:1:pos:R:3 pbc="T T T"
Sc 0.000 0.000 0.000
Ag 2.797 2.345 3.521
Ag 2.797 -2.345 3.521
I 2.267 0.000 2.131
I 4.173 2.017 5.965
I 7.483 0.000 4.382
I 4.173 -2.017 5.965
I 10.868 0.000 1.986
```

# 3
The following is a theoretical X-ray powder pattern of Ag4Se2I. It was derived from the GGA-PBE geometry in Alexandria, using Cu Kα.
Peak positions follow from Bragg's law for the DFT cell and can differ from measured ones.

Peak list (6 most intense, 2θ from 10° to 80°, sorted by position)
2θ (°), Rel. int.
23.71, 60.9
26.98, 26.3
29.79, 39.8
41.20, 100.0
43.55, 27.8
44.48, 26.0

```
28
Lattice="4.074 0.000 0.000 0.000 14.139 0.000 -0.002 0.000 13.217" Properties=species:S:1:pos:R:3 pbc="T T T"
Ag 1.014 2.767 3.300
Ag 1.013 4.303 9.909
Ag 1.017 7.773 7.385
Ag 1.016 7.776 12.445
Ag 1.020 10.604 0.006
Ag 1.019 10.605 6.615
Ag 1.018 13.436 0.776
Ag 1.017 13.433 5.836
Ag 3.054 0.707 7.381
Ag 3.053 0.704 12.441
Ag 3.051 3.535 13.212
Ag 3.053 3.534 6.603
Ag 3.055 6.363 0.772
Ag 3.054 6.366 5.833
Ag 3.059 9.837 3.308
Ag 3.058 11.372 9.917
Se 1.017 1.963 0.828
Se 1.016 1.960 5.772
Se 1.016 5.107 7.437
Se 1.015 5.110 12.381
Se 3.057 9.029 0.837
Se 3.055 9.032 5.781
Se 3.056 12.179 7.445
Se 3.054 12.177 12.389
I 1.024 9.076 9.915
I 1.025 12.133 3.306
I 3.046 2.006 9.912
I 3.047 5.063 3.303
```

# 4
The following is a theoretical X-ray powder pattern of Ag3SeI2. It was derived from the GGA-PBE geometry in Alexandria, using Cu Kα.
Peak positions follow from Bragg's law for the DFT cell and can differ from measured ones.

Peak list (6 most intense, 2θ from 10° to 80°, sorted by position)
2θ (°), Rel. int.
20.35, 87.2
22.85, 86.3
27.58, 47.0
30.77, 100.0
34.02, 87.4
38.67, 71.5

```
12
Lattice="6.356 -3.892 0.000 6.356 3.892 0.000 -3.151 0.000 7.229" Properties=species:S:1:pos:R:3 pbc="T T T"
Ag 3.992 2.573 5.422
Ag 1.583 0.602 6.530
Ag 3.158 -0.602 2.915
Ag 6.402 0.602 4.314
Ag 7.977 -0.602 0.699
Ag 5.568 -2.573 1.807
Se 5.568 0.019 1.807
Se 3.992 -0.019 5.422
I 2.012 0.186 0.358
I 0.436 -0.186 3.972
I 9.124 0.186 3.257
I 7.548 -0.186 6.871
```

# 5
The following is a theoretical X-ray powder pattern of AgSeI. It was derived from the GGA-PBE geometry in Alexandria, using Cu Kα.
Peak positions follow from Bragg's law for the DFT cell and can differ from measured ones.

Peak list (6 most intense, 2θ from 10° to 80°, sorted by position)
2θ (°), Rel. int.
12.36, 100.0
21.00, 26.5
26.65, 25.6
32.44, 23.4
34.14, 24.3
35.13, 26.9

```
12
Lattice="10.926 0.000 0.000 0.000 9.483 0.000 0.000 0.000 4.726" Properties=species:S:1:pos:R:3 pbc="T T T"
Ag 0.911 0.427 0.000
Ag 4.552 5.169 2.363
Ag 6.374 4.314 0.000
Ag 10.015 9.055 2.363
Se 1.629 8.516 2.627
Se 3.834 3.775 0.263
Se 7.092 5.708 2.627
Se 9.297 0.967 0.263
I 2.403 6.271 3.933
I 3.060 1.530 1.569
I 7.866 7.952 3.933
I 8.523 3.211 1.569
```

# 6
The following is a theoretical X-ray powder pattern of Ag3SeI8. It was derived from the GGA-PBE geometry in Alexandria, using Cu Kα.
Peak positions follow from Bragg's law for the DFT cell and can differ from measured ones.

Peak list (6 most intense, 2θ from 10° to 80°, sorted by position)
2θ (°), Rel. int.
12.46, 36.8
25.24, 23.5
29.18, 100.0
41.63, 34.3
41.84, 35.4
68.71, 13.2

```
12
Lattice="7.482 -4.315 0.000 7.482 4.315 0.000 -5.007 0.000 7.103" Properties=species:S:1:pos:R:3 pbc="T T T"
Ag 0.000 0.000 0.000
Ag 3.741 2.158 0.000
Ag 3.741 -2.158 0.000
Se 7.482 0.000 0.000
I 2.493 0.000 1.437
I 0.201 0.000 5.379
I 3.611 1.967 5.376
I 6.348 1.967 1.727
I 3.611 -1.967 5.376
I 6.348 -1.967 1.727
I 9.757 0.000 1.724
I 7.465 0.000 5.666
```